# 1
Li2MgSi: theoretical X-ray diffraction stick pattern (Cu Kα X-rays), based on a structure optimized by DFT (PBE).
Neutral-atom scattering factors, no anomalous dispersion.

The 10 most intense peaks (5° ≤ 2θ ≤ 70°), most intense first:
2.248 Å, I = 100; 3.672 Å, I = 45; 1.917 Å, I = 20; 1.590 Å, I = 16; 6.359 Å, I = 14; 2.844 Å, I = 13; 1.459 Å, I = 8; 2.120 Å, I = 5; 1.542 Å, I = 4; 1.388 Å, I = 3

Atomic structure:
```
Li2MgSi
1.0
6.3594 0.0000 0.0000
0.0000 6.3594 0.0000
0.0000 0.0000 6.3594
Li Mg Si
8 4 4
Direct
0.0000 0.0000 0.0000
0.0000 0.0000 0.5000
0.0000 0.5000 0.0000
0.2280 0.2280 0.2280
0.2280 0.7720 0.7720
0.5000 0.0000 0.0000
0.7720 0.2280 0.7720
0.7720 0.7720 0.2280
0.0000 0.5000 0.5000
0.5000 0.0000 0.5000
0.5000 0.5000 0.0000
0.5000 0.5000 0.5000
0.2466 0.2466 0.7534
0.2466 0.7534 0.2466
0.7534 0.2466 0.2466
0.7534 0.7534 0.7534
```

---

# 2
Ho3Mg5In2: theoretical X-ray diffraction stick pattern (Cu Kα X-rays), based on a structure optimized by DFT (PBE).
Neutral-atom scattering factors, no anomalous dispersion.

The 10 most intense peaks (5° ≤ 2θ ≤ 70°), most intense first:
2.825 Å, I = 100; 9.213 Å, I = 91; 3.170 Å, I = 47; 2.332 Å, I = 42; 2.190 Å, I = 40; 3.071 Å, I = 24; 1.596 Å, I = 24; 3.097 Å, I = 20; 1.358 Å, I = 20; 1.802 Å, I = 18

Atomic structure:
```
Ho3Mg5In2
1.0
-6.1954 6.8895 3.0962
6.1954 -6.8895 3.0962
6.1954 6.8895 -3.0962
Ho Mg In
6 10 4
Direct
0.2309 0.1270 0.3579
0.2500 0.2500 0.0000
0.2691 0.6270 0.8960
0.7309 0.3730 0.1040
0.7500 0.7500 0.0000
0.7691 0.8730 0.6421
0.1508 0.3874 0.5382
0.2500 0.5066 0.2566
0.2500 0.7500 0.5000
0.2500 0.9934 0.7434
0.3492 0.8874 0.2366
0.6508 0.1126 0.7634
0.7500 0.0066 0.2566
0.7500 0.2500 0.5000
0.7500 0.4934 0.7434
0.8492 0.6126 0.4618
0.1520 0.8595 0.0115
0.3480 0.3595 0.7075
0.6520 0.6405 0.2925
0.8480 0.1405 0.9885
```

---

# 3
Fe3Mo: theoretical X-ray diffraction stick pattern (Cu Kα X-rays), based on a structure optimized by DFT (PBE).
Neutral-atom scattering factors, no anomalous dispersion.

The 6 most intense peaks (5° ≤ 2θ ≤ 70°), most intense first:
2.087 Å, I = 100; 1.807 Å, I = 47; 3.615 Å, I = 7; 2.556 Å, I = 6; 1.617 Å, I = 3; 1.476 Å, I = 2

Atomic structure:
```
Fe3Mo
1.0
3.6150 0.0000 0.0000
0.0000 3.6150 0.0000
0.0000 0.0000 3.6150
Fe Mo
3 1
Direct
0.0000 0.0000 0.5000
0.0000 0.5000 0.0000
0.5000 0.0000 0.0000
0.5000 0.5000 0.5000
```